This entry pairs a crystal structure of Li4Er3HfSe8 with its theoretical powder XRD pattern. Radiation: CuKα. Structure: a cell relaxed with PBE.
Neutral-atom scattering factors, no anomalous dispersion.

Structure:
```
Li4Er3HfSe8
1.0
3.9593 2.2859 6.4990
-3.9593 2.2859 6.4990
0.0000 -4.5718 6.4990
Li Er Hf Se
4 3 1 8
Direct
0.0000 0.0000 0.0000 Li
0.0000 0.5000 0.5000 Li
0.5000 0.0000 0.5000 Li
0.5000 0.5000 0.0000 Li
0.0000 0.0000 0.5000 Er
0.0000 0.5000 0.0000 Er
0.5000 0.0000 0.0000 Er
0.5000 0.5000 0.5000 Hf
0.2519 0.2519 0.2519 Se
0.2561 0.2561 0.7378 Se
0.2561 0.7378 0.2561 Se
0.2622 0.7439 0.7439 Se
0.7378 0.2561 0.2561 Se
0.7439 0.2622 0.7439 Se
0.7439 0.7439 0.2622 Se
0.7481 0.7481 0.7481 Se
```

Principal peaks in the range 2θ = 15–90°, in order of rising 2θ:
2θ 26.4, d = 3.377 Å, I = 39; 2θ 31.9, d = 2.804 Å, I = 100; 2θ 34.8, d = 2.575 Å, I = 20; 2θ 41.8, d = 2.163 Å, I = 15; 2θ 45.7, d = 1.986 Å, I = 37; 2θ 45.8, d = 1.980 Å, I = 36; 2θ 48.0, d = 1.894 Å, I = 15; 2θ 56.9, d = 1.617 Å, I = 19; 2θ 75.7, d = 1.256 Å, I = 16; 2θ 76.0, d = 1.252 Å, I = 16